# NbCu3I9
Theoretical powder XRD pattern, copper Kα. Input: a crystal structure in Alexandria, relaxed with PBE.

Structure:
```
data_NbCu3I9
_chemical_formula_sum 'Nb4 Cu12 I36'
_symmetry_space_group_name_H-M 'C 1 c 1'
_symmetry_Int_Tables_number 9
_symmetry_space_group_name_Hall 'C -2yc'
_cell_length_a 18.801
_cell_length_b 9.986
_cell_length_c 13.943
_cell_angle_alpha 90.00
_cell_angle_beta 128.24
_cell_angle_gamma 90.00
loop_
_atom_site_label
_atom_site_fract_x
_atom_site_fract_y
_atom_site_fract_z
Nb1 0.000 0.222 0.000
Cu1 0.138 0.415 0.848
Cu2 0.269 0.063 0.772
Cu3 0.361 0.381 0.669
I1 0.004 0.087 0.181
I2 0.101 0.435 0.141
I3 0.142 0.055 0.062
I4 0.193 0.379 0.481
I5 0.238 0.215 0.890
I6 0.344 0.143 0.427
I7 0.371 0.476 0.333
I8 0.388 0.141 0.753
I9 0.492 0.185 0.304
```

Main lines, most intense first (5 to 70 degrees two-theta):
hkl, 2θ (°), I/Imax
1 1 1, 15.50, 100
5 1 -2, 25.45, 93
3 1 -4, 27.17, 68
2 0 2, 25.56, 52
2 2 -3, 26.37, 50
5 1 -1, 27.46, 38
1 1 -1, 10.94, 36
1 3 -2, 30.01, 34
1 3 3, 39.58, 32
1 1 -6, 47.11, 32